The following is a calculated powder X-ray diffraction pattern of K2Mn2PbO6. It was derived from a DFT-relaxed cell (PBE+U, Alexandria), using CuKα.
No peak broadening, texture or thermal motion is included.

Cell and atoms:
Cell: 5.646 5.646 6.512 Å, 97.24 97.24 123.23°
Element x y z (fractional)
K  0.165  0.835  0.000
K  0.835  0.165  0.000
Mn  0.334  0.666  0.500
Mn  0.666  0.334  0.500
Pb  0.000  0.000  0.500
O  0.075  0.421  0.669
O  0.281  0.281  0.319
O  0.421  0.075  0.669
O  0.579  0.925  0.331
O  0.719  0.719  0.681
O  0.925  0.579  0.331

Principal peaks in the range 10° ≤ 2θ ≤ 90°, sorted by position:
d 6.279, 2θ = 14.11°, I = 100
d 4.591, 2θ = 19.33°, I = 39
d 3.896, 2θ = 22.83°, I = 27
d 3.139, 2θ = 28.43°, I = 28
d 2.696, 2θ = 33.23°, I = 30
d 2.424, 2θ = 37.09°, I = 55